Record 1
Calculated powder diffractogram of Ag2PbO2 for Cu Kα (weighted mean of Kα1 and Kα2), from a structure optimized by DFT (GGA-PBE).
Kinematic intensities with the Lorentz-polarization factor, no thermal factor.

Main lines, in order of rising 2θ (10 to 80 degrees two-theta):
| 2theta | Rel. int. |
| --- | --- |
| 28.05 | 46.1 |
| 29.36 | 28.9 |
| 32.00 | 70.4 |
| 34.29 | 100.0 |
| 35.08 | 40.7 |
| 50.58 | 19.2 |
| 51.27 | 22.6 |
| 53.76 | 16.6 |
| 55.30 | 26.9 |
| 57.99 | 33.0 |

Structural model:
```
data_Ag2PbO2
_symmetry_space_group_name_H-M 'P 43 21 2'
_symmetry_Int_Tables_number 96
_cell_length_a 6.0846
_cell_length_b 6.0846
_cell_length_c 9.4471
_cell_angle_alpha 90.00
_cell_angle_beta 90.00
_cell_angle_gamma 90.00
loop_
_symmetry_equiv_pos_as_xyz
'x,y,z'
'-y+1/2,x+1/2,z+3/4'
'-x,-y,z+1/2'
'y+1/2,-x+1/2,z+1/4'
'x+1/2,-y+1/2,-z+1/4'
'-y,-x,-z+1/2'
'-x+1/2,y+1/2,-z+3/4'
'y,x,-z'
loop_
_atom_site_label
_atom_site_type_symbol
_atom_site_fract_x
_atom_site_fract_y
_atom_site_fract_z
Ag1 Ag 0.0104 0.2495 0.1270
Pb1 Pb 0.2303 0.2303 0.5000
O1 O 0.1056 0.2631 0.7494
```

---

Record 2
Calculated powder diffractogram of PrGdCCl for Cu Kα (weighted mean of Kα1 and Kα2), from a structure optimized by DFT (GGA-PBE).
Kinematic intensities with the Lorentz-polarization factor, no thermal factor.

Main lines, in order of rising 2θ (10 to 80 degrees two-theta):
| 2theta | Rel. int. |
| --- | --- |
| 12.46 | 14.7 |
| 25.06 | 12.7 |
| 27.59 | 25.6 |
| 28.31 | 25.3 |
| 33.56 | 100.0 |
| 37.99 | 12.6 |
| 48.79 | 25.5 |
| 53.28 | 12.9 |
| 60.52 | 17.9 |
| 63.45 | 16.7 |

Structural model:
```
data_PrGdCCl
_symmetry_space_group_name_H-M 'P -6 m 2'
_symmetry_Int_Tables_number 187
_symmetry_space_group_name_Hall 'P -6 2'
_cell_length_a 3.7332
_cell_length_b 3.7332
_cell_length_c 14.2115
_cell_angle_alpha 90.00
_cell_angle_beta 90.00
_cell_angle_gamma 120.00
loop_
_atom_site_label
_atom_site_type_symbol
_atom_site_fract_x
_atom_site_fract_y
_atom_site_fract_z
Pr1 Pr 0.0000 0.0000 0.1587
Gd1 Gd 0.6667 0.3333 0.3494
C1 C 0.3333 0.6667 0.2627
Cl1 Cl 0.0000 0.0000 0.5000
Cl2 Cl 0.6667 0.3333 0.0000
```

---

Record 3
Calculated powder diffractogram of Ag5PSeO4 for Cu Kα (weighted mean of Kα1 and Kα2), from a structure optimized by DFT (GGA-PBE).
Kinematic intensities with the Lorentz-polarization factor, no thermal factor.

Main lines, in order of rising 2θ (10 to 80 degrees two-theta):
| 2theta | Rel. int. |
| --- | --- |
| 17.70 | 16.2 |
| 18.22 | 22.3 |
| 28.66 | 31.8 |
| 35.83 | 100.0 |
| 36.91 | 66.3 |
| 41.22 | 17.1 |
| 45.62 | 20.2 |
| 49.31 | 15.4 |
| 53.19 | 36.4 |
| 65.81 | 20.9 |

Structural model:
```
data_Ag5PSeO4
_symmetry_space_group_name_H-M 'P 4/n m m'
_symmetry_Int_Tables_number 129
_cell_length_a 6.8866
_cell_length_b 6.8866
_cell_length_c 7.3085
_cell_angle_alpha 90.00
_cell_angle_beta 90.00
_cell_angle_gamma 90.00
loop_
_symmetry_equiv_pos_as_xyz
'x,y,z'
'-x,-y,-z'
'-y+1/2,x,z'
'y+1/2,-x,-z'
'-x+1/2,-y+1/2,z'
'x+1/2,y+1/2,-z'
'y,-x+1/2,z'
'-y,x+1/2,-z'
'x+1/2,-y,-z'
'-x+1/2,y,z'
'-y,-x,-z'
'y,x,z'
'-x,y+1/2,-z'
'x,-y+1/2,z'
'y+1/2,x+1/2,-z'
'-y+1/2,-x+1/2,z'
loop_
_atom_site_label
_atom_site_type_symbol
_atom_site_fract_x
_atom_site_fract_y
_atom_site_fract_z
Ag1 Ag 0.0320 0.0320 0.1920
Ag2 Ag 0.2500 0.2500 0.4656
P1 P 0.2500 0.7500 0.5000
Se1 Se 0.2500 0.2500 0.9883
O1 O 0.0646 0.7500 0.3768
```

---

Record 4
Calculated powder diffractogram of GdDy2In3Ni2Au for Cu Kα (weighted mean of Kα1 and Kα2), from a structure optimized by DFT (GGA-PBE).
Kinematic intensities with the Lorentz-polarization factor, no thermal factor.

Main lines, in order of rising 2θ (10 to 80 degrees two-theta):
| 2theta | Rel. int. |
| --- | --- |
| 27.29 | 22.5 |
| 32.89 | 97.0 |
| 35.72 | 100.0 |
| 36.37 | 35.6 |
| 41.45 | 42.7 |
| 43.25 | 24.4 |
| 46.14 | 24.7 |
| 60.13 | 16.3 |
| 63.74 | 23.4 |
| 66.77 | 35.2 |

Structural model:
```
data_GdDy2In3Ni2Au
_symmetry_space_group_name_H-M 'A m m 2'
_symmetry_Int_Tables_number 38
_cell_length_a 3.9345
_cell_length_b 13.0695
_cell_length_c 7.5465
_cell_angle_alpha 90.00
_cell_angle_beta 90.00
_cell_angle_gamma 90.00
loop_
_symmetry_equiv_pos_as_xyz
'x,y,z'
'-x,-y,z'
'-x,y,z'
'x,-y,z'
'x,y+1/2,z+1/2'
'-x,-y+1/2,z+1/2'
'-x,y+1/2,z+1/2'
'x,-y+1/2,z+1/2'
loop_
_atom_site_label
_atom_site_type_symbol
_atom_site_fract_x
_atom_site_fract_y
_atom_site_fract_z
Gd1 Gd 0.0000 0.0000 0.0000
Dy1 Dy 0.0000 0.2045 0.6127
In1 In 0.5000 0.0000 0.6811
In2 In 0.5000 0.1369 0.2728
Ni1 Ni 0.5000 0.1673 0.9087
Au1 Au 0.0000 0.0000 0.4098
```

---

Record 5
Calculated powder diffractogram of TbYNi2Ge2 for Cu Kα (weighted mean of Kα1 and Kα2), from a structure optimized by DFT (GGA-PBE).
Kinematic intensities with the Lorentz-polarization factor, no thermal factor.

Main lines, in order of rising 2θ (10 to 80 degrees two-theta):
| 2theta | Rel. int. |
| --- | --- |
| 12.23 | 5.1 |
| 24.40 | 9.6 |
| 27.38 | 6.1 |
| 34.93 | 100.0 |
| 42.94 | 51.9 |
| 50.45 | 10.5 |
| 56.50 | 24.5 |
| 68.36 | 24.6 |
| 73.49 | 21.9 |
| 78.68 | 8.3 |

Structural model:
```
data_TbYNi2Ge2
_symmetry_space_group_name_H-M 'P 3 m 1'
_symmetry_Int_Tables_number 156
_cell_length_a 4.2129
_cell_length_b 4.2129
_cell_length_c 7.2351
_cell_angle_alpha 90.00
_cell_angle_beta 90.00
_cell_angle_gamma 120.00
loop_
_symmetry_equiv_pos_as_xyz
'x,y,z'
'-y,x-y,z'
'-x+y,-x,z'
'-y,-x,z'
'-x+y,y,z'
'x,x-y,z'
loop_
_atom_site_label
_atom_site_type_symbol
_atom_site_fract_x
_atom_site_fract_y
_atom_site_fract_z
Tb1 Tb 0.0000 0.0000 0.0000
Y1 Y 0.0000 0.0000 0.5001
Ni1 Ni 0.3333 0.6667 0.2415
Ni2 Ni 0.6667 0.3333 0.7389
Ge1 Ge 0.3333 0.6667 0.7526
Ge2 Ge 0.6667 0.3333 0.2551
```

---

What did the fourth record say?
Calculated powder diffractogram of GdDy2In3Ni2Au for Cu Kα (weighted mean of Kα1 and Kα2), from a structure optimized by DFT (GGA-PBE).
Kinematic intensities with the Lorentz-polarization factor, no thermal factor.

Main lines, in order of rising 2θ (10 to 80 degrees two-theta):
| 2theta | Rel. int. |
| --- | --- |
| 27.29 | 22.5 |
| 32.89 | 97.0 |
| 35.72 | 100.0 |
| 36.37 | 35.6 |
| 41.45 | 42.7 |
| 43.25 | 24.4 |
| 46.14 | 24.7 |
| 60.13 | 16.3 |
| 63.74 | 23.4 |
| 66.77 | 35.2 |

Structural model:
```
data_GdDy2In3Ni2Au
_symmetry_space_group_name_H-M 'A m m 2'
_symmetry_Int_Tables_number 38
_cell_length_a 3.9345
_cell_length_b 13.0695
_cell_length_c 7.5465
_cell_angle_alpha 90.00
_cell_angle_beta 90.00
_cell_angle_gamma 90.00
loop_
_symmetry_equiv_pos_as_xyz
'x,y,z'
'-x,-y,z'
'-x,y,z'
'x,-y,z'
'x,y+1/2,z+1/2'
'-x,-y+1/2,z+1/2'
'-x,y+1/2,z+1/2'
'x,-y+1/2,z+1/2'
loop_
_atom_site_label
_atom_site_type_symbol
_atom_site_fract_x
_atom_site_fract_y
_atom_site_fract_z
Gd1 Gd 0.0000 0.0000 0.0000
Dy1 Dy 0.0000 0.2045 0.6127
In1 In 0.5000 0.0000 0.6811
In2 In 0.5000 0.1369 0.2728
Ni1 Ni 0.5000 0.1673 0.9087
Au1 Au 0.0000 0.0000 0.4098
```

---

> Number 3 is which compound?

Ag5PSeO4